The following is a theoretical X-ray powder pattern of Pa4S5N. It was derived from a crystal structure in Alexandria, relaxed with GGA-PBE, using Cu Kα.
Kinematic intensities with the Lorentz-polarization factor, no thermal factor.

Crystal structure
a = 8.497 Å, b = 8.497 Å, c = 7.514 Å
α = 103.95°, β = 103.95°, γ = 25.55°
Positions (direct):
1 Pa 0.004 0.004 0.272
2 Pa 0.343 0.343 0.414
3 Pa 0.657 0.657 0.586
4 Pa 0.996 0.996 0.728
5 S 0.163 0.163 0.843
6 S 0.173 0.173 0.329
7 S 0.500 0.500 0.000
8 S 0.827 0.827 0.671
9 S 0.837 0.837 0.157
10 N 0.500 0.500 0.500

Peak list (10 most intense, 5 to 70 degrees two-theta, in order of rising 2θ)
d = 8.029 Å, 2θ = 11.02°, rel. 36; d = 7.280 Å, 2θ = 12.16°, rel. 86; d = 3.106 Å, 2θ = 28.75°, rel. 32; d = 3.075 Å, 2θ = 29.04°, rel. 65; d = 3.044 Å, 2θ = 29.34°, rel. 30; d = 2.676 Å, 2θ = 33.48°, rel. 50; d = 2.656 Å, 2θ = 33.74°, rel. 100; d = 1.900 Å, 2θ = 47.89°, rel. 35; d = 1.878 Å, 2θ = 48.46°, rel. 35; d = 1.871 Å, 2θ = 48.65°, rel. 34

The following is a theoretical X-ray powder pattern of Tb2PaSbN5. It was derived from a crystal structure in Alexandria, relaxed with GGA-PBE, using Cu Kα.
Kinematic intensities with the Lorentz-polarization factor, no thermal factor.

Crystal structure
a = 7.344 Å, b = 7.344 Å, c = 11.141 Å
α = 90.00°, β = 90.00°, γ = 151.80°
Positions (direct):
1 Tb 0.139 0.861 0.503
2 Tb 0.139 0.861 0.997
3 Tb 0.861 0.139 0.003
4 Tb 0.861 0.139 0.497
5 Pa 0.268 0.732 0.750
6 Pa 0.732 0.268 0.250
7 Sb 0.492 0.508 0.250
8 Sb 0.508 0.492 0.750
9 N 0.087 0.913 0.750
10 N 0.264 0.736 0.121
11 N 0.264 0.736 0.379
12 N 0.407 0.593 0.616
13 N 0.407 0.593 0.884
14 N 0.593 0.407 0.116
15 N 0.593 0.407 0.384
16 N 0.736 0.264 0.621
17 N 0.736 0.264 0.879
18 N 0.913 0.087 0.250

Peak list (10 most intense, 5 to 70 degrees two-theta, in order of rising 2θ)
d = 7.123 Å, 2θ = 12.43°, rel. 26; d = 3.313 Å, 2θ = 26.91°, rel. 33; d = 3.001 Å, 2θ = 29.78°, rel. 100; d = 2.945 Å, 2θ = 30.35°, rel. 57; d = 2.857 Å, 2θ = 31.30°, rel. 22; d = 2.785 Å, 2θ = 32.14°, rel. 42; d = 2.542 Å, 2θ = 35.30°, rel. 17; d = 2.265 Å, 2θ = 39.80°, rel. 17; d = 1.995 Å, 2θ = 45.48°, rel. 18; d = 1.536 Å, 2θ = 60.23°, rel. 28